Entry 1:
Diffraction record for In7Hg12Te. The powder diffractogram is theoretical, not measured: it uses a cell relaxed with PBE and Cu Kα, 1.54184 Å.
Kinematic intensities with the Lorentz-polarization factor, no thermal factor.

Most intense lines, 5° ≤ 2θ ≤ 70°, low angle first:
2θ = 28.9°, I 49; 2θ = 31.2°, I 35; 2θ = 32.3°, I 100; 2θ = 35.1°, I 89; 2θ = 38.0°, I 55; 2θ = 52.9°, I 41

Cell: 9.289 9.289 8.401 Å, 107.60 107.60 111.25°
Fractional positions:
In 0.000 0.000 0.000
In 0.001 0.706 0.626
In 0.294 0.294 0.920
In 0.294 0.999 0.374
In 0.706 0.001 0.626
In 0.706 0.706 0.080
In 0.999 0.294 0.374
Hg 0.001 0.343 0.997
Hg 0.285 0.570 0.785
Hg 0.286 0.714 0.500
Hg 0.342 0.342 0.348
Hg 0.343 0.001 0.997
Hg 0.430 0.715 0.215
Hg 0.570 0.285 0.785
Hg 0.657 0.999 0.003
Hg 0.658 0.658 0.652
Hg 0.714 0.286 0.500
Hg 0.715 0.430 0.215
Hg 0.999 0.657 0.003
Te 0.000 0.000 0.500

Entry 2:
Diffraction record for TlInHg2Te4. The powder diffractogram is theoretical, not measured: it uses a cell relaxed with PBE and Cu Kα, 1.54184 Å.
Kinematic intensities with the Lorentz-polarization factor, no thermal factor.

Most intense lines, 5° ≤ 2θ ≤ 70°, low angle first:
2θ = 25.1°, I 100; 2θ = 25.3°, I 38; 2θ = 31.3°, I 99; 2θ = 38.2°, I 33; 2θ = 42.6°, I 29; 2θ = 49.5°, I 28

Cell: 7.366 7.366 7.366 Å, 119.00 105.65 104.20°
Fractional positions:
Tl 0.000 0.000 0.000
In 0.500 0.500 0.000
Hg 0.318 0.818 0.500
Hg 0.682 0.182 0.500
Te 0.133 0.104 0.593
Te 0.489 0.896 0.029
Te 0.511 0.540 0.407
Te 0.867 0.460 0.971